No. 1
Starting from a DFT-relaxed cell (GGA-PBE, Alexandria), the X-ray diffraction stick pattern of Nb3V3Si2 was computed for Cu Kα (λ = 1.5418 Å).

Crystal structure
a b c (Å): 6.9783 6.9783 8.5556
angles (deg): 90.00 90.00 120.00
Space group R32 (No. 155, hexagonal axes)
Inequivalent atoms, fractional coordinates:
Nb1 0.0000 0.2512 0.0000
V1 0.0000 0.7512 0.5000
Si1 0.0000 0.0000 0.2540

Principal peaks in the range 10° ≤ 2θ ≤ 80°, most intense first:
(1 1 3), 2.207 Å, I = 100; (1 2 2), 2.015 Å, I = 39; (1 1 0), 3.490 Å, I = 25; (3 2 1), 1.369 Å, I = 20; (2 3 2), 1.319 Å, I = 19; (2 0 2), 2.468 Å, I = 17; (0 0 6), 1.425 Å, I = 13; (4 0 4), 1.234 Å, I = 10; (0 0 3), 2.851 Å, I = 5; (2 1 4), 1.561 Å, I = 5


No. 2
Starting from a DFT-relaxed cell (GGA-PBE, Alexandria), the X-ray diffraction stick pattern of NbVSi4 was computed for Cu Kα (λ = 1.5418 Å).

Crystal structure
a b c (Å): 4.687 13.001 4.706
angles (deg): 90.00 119.64 90.00
Space group P2 (No. 3)
Inequivalent atoms, fractional coordinates:
Nb1 0.000 0.000 0.000
Nb2 0.000 0.496 0.000
Nb3 0.500 0.664 0.000
V1 0.000 0.330 0.500
V2 0.000 0.833 0.500
V3 0.500 0.164 0.000
Si1 0.176 0.668 0.343
Si2 0.179 0.168 0.346
Si3 0.335 0.493 0.656
Si4 0.336 0.999 0.663
Si5 0.343 0.833 0.184
Si6 0.344 0.327 0.176

Principal peaks in the range 10° ≤ 2θ ≤ 80°, most intense first:
(1 2 1), 2.219 Å, I = 100; (0 6 0), 2.167 Å, I = 93; (1 2 -2), 2.212 Å, I = 91; (2 2 -1), 2.205 Å, I = 80; (1 2 0), 3.456 Å, I = 77; (1 4 1), 1.910 Å, I = 59; (1 4 -2), 1.906 Å, I = 56; (2 4 -1), 1.901 Å, I = 52; (1 2 -1), 3.443 Å, I = 48; (1 8 1), 1.338 Å, I = 36


No. 3
Starting from a DFT-relaxed cell (GGA-PBE, Alexandria), the X-ray diffraction stick pattern of SmNbZn was computed for Cu Kα (λ = 1.5418 Å).

Crystal structure
a b c (Å): 4.379 4.394 13.161
angles (deg): 90.00 90.00 90.00
Space group Cmmm (No. 65)
Inequivalent atoms, fractional coordinates:
Sm1 0.000 0.000 0.176
Nb1 0.000 0.500 0.364
Zn1 0.000 0.000 0.500
Zn2 0.000 0.500 0.000

Principal peaks in the range 10° ≤ 2θ ≤ 80°, most intense first:
(1 1 3), 2.533 Å, I = 100; (0 2 0), 2.196 Å, I = 30; (2 2 0), 1.551 Å, I = 20; (2 0 0), 2.190 Å, I = 18; (1 3 3), 1.324 Å, I = 17; (3 1 3), 1.321 Å, I = 12; (1 1 2), 2.806 Å, I = 9; (1 1 8), 1.453 Å, I = 8; (2 2 6), 1.266 Å, I = 8; (2 0 6), 1.550 Å, I = 8


No. 4
Starting from a DFT-relaxed cell (GGA-PBE, Alexandria), the X-ray diffraction stick pattern of Nb5Sn2 was computed for Cu Kα (λ = 1.5418 Å).

Crystal structure
a b c (Å): 9.987 3.576 7.552
angles (deg): 90.00 94.65 90.00
Space group C2/m (No. 12)
Inequivalent atoms, fractional coordinates:
Nb1 0.000 0.000 0.000
Nb2 0.145 0.000 0.426
Nb3 0.199 0.500 0.139
Sn1 0.081 0.500 0.722

Principal peaks in the range 10° ≤ 2θ ≤ 80°, most intense first:
(1 1 2), 2.475 Å, I = 100; (3 1 -1), 2.356 Å, I = 86; (2 0 -3), 2.317 Å, I = 42; (4 0 1), 2.308 Å, I = 38; (0 2 0), 1.788 Å, I = 19; (2 2 -3), 1.416 Å, I = 17; (1 1 -5), 1.388 Å, I = 16; (4 2 1), 1.413 Å, I = 16; (2 0 4), 1.715 Å, I = 16; (5 1 3), 1.384 Å, I = 14